Entry 1:
This entry pairs a crystal structure of Tb2CeTl with its theoretical X-ray diffraction stick pattern. Radiation: Cu Kα X-rays. Structure: a crystal structure in Alexandria, relaxed with GGA-PBE.
No peak broadening, texture or thermal motion is included.

Structural model:
abc: 3.5714 3.5714 32.8938
angles: 90.00 90.00 120.00
Space group R3m (No. 160, hexagonal axes)
Symmetry-distinct sites (fractional):
Tb  0.0000  0.0000  0.0000 x3
Tb  0.0000  0.0000  0.1750 x3
Ce  0.0000  0.0000  0.4206 x3
Tl  0.0000  0.0000  0.5874 x3

Most intense lines, 2θ = 10–90°, in order of rising 2θ:
29.38°, rel. 34, hkl 0 1 2; 31.97°, rel. 100, hkl 0 1 5; 32.67°, rel. 39, hkl 0 0 12; 34.72°, rel. 67, hkl 1 0 7; 40.01°, rel. 23, hkl 1 0 10; 51.15°, rel. 35, hkl 1 1 0; 56.06°, rel. 22, hkl 0 1 17; 61.61°, rel. 15, hkl 2 0 5; 62.03°, rel. 38, hkl 1 1 12; 63.31°, rel. 12, hkl 0 2 7; 84.10°, rel. 13, hkl 1 2 5; 85.62°, rel. 10, hkl 2 1 7


Entry 2:
This entry pairs a crystal structure of TbCeTm2 with its theoretical X-ray diffraction stick pattern. Radiation: Cu Kα X-rays. Structure: a crystal structure in Alexandria, relaxed with GGA-PBE.
No peak broadening, texture or thermal motion is included.

Structural model:
abc: 12.827 3.451 10.910
angles: 90.00 90.40 90.00
Space group C2/m (No. 12)
Symmetry-distinct sites (fractional):
Tb  0.133  0.000  0.483 x4
Ce  0.110  0.000  0.008 x4
Tm  0.020  0.500  0.744 x4
Tm  0.245  0.500  0.241 x4

Most intense lines, 2θ = 10–90°, in order of rising 2θ:
31.46°, rel. 100, hkl 1 1 2; 32.28°, rel. 53, hkl 4 0 -2; 32.49°, rel. 58, hkl 4 0 2; 32.84°, rel. 56, hkl 0 0 4; 33.37°, rel. 33, hkl 3 1 0; 34.38°, rel. 35, hkl 3 1 -1; 36.58°, rel. 18, hkl 1 1 3; 43.98°, rel. 20, hkl 5 1 0; 53.08°, rel. 16, hkl 0 2 0; 63.51°, rel. 17, hkl 4 2 -2; 63.62°, rel. 17, hkl 4 2 2; 63.83°, rel. 17, hkl 0 2 4


Entry 3:
This entry pairs a crystal structure of Tb12CeTm2 with its theoretical X-ray diffraction stick pattern. Radiation: Cu Kα X-rays. Structure: a crystal structure in Alexandria, relaxed with GGA-PBE.
No peak broadening, texture or thermal motion is included.

Structural model:
abc: 3.554 5.589 24.290
angles: 90.00 94.14 90.00
Space group P2/m (No. 10)
Symmetry-distinct sites (fractional):
Tb  0.037  0.000  0.073 x2
Tb  0.225  0.000  0.444 x2
Tb  0.285  0.500  0.576 x2
Tb  0.333  0.000  0.671 x2
Tb  0.399  0.000  0.799 x2
Tb  0.430  0.500  0.863 x2
Ce  0.500  0.500  0.000 x1
Tm  0.137  0.500  0.271 x2

Most intense lines, 2θ = 10–90°, in order of rising 2θ:
30.35°, rel. 100, hkl 0 1 7; 31.22°, rel. 51, hkl 1 1 -3; 32.03°, rel. 72, hkl 0 2 0; 32.37°, rel. 38, hkl 1 0 5; 32.54°, rel. 71, hkl 1 1 -4; 33.66°, rel. 42, hkl 0 1 8; 46.18°, rel. 29, hkl 1 2 5; 51.43°, rel. 19, hkl 2 0 -1; 56.04°, rel. 18, hkl 0 3 7; 60.08°, rel. 18, hkl 1 1 13; 60.91°, rel. 21, hkl 2 1 6; 61.88°, rel. 22, hkl 2 2 -1


Question: What is the formula in the first record?
Answer: Tb2CeTl


Question: What is the formula in the second record?
Answer: TbCeTm2